Calculated powder XRD pattern of YMo2O6 for Cu Ka, from DFT lattice parameters and positions (PBE+U).

Main lines, in order of rising 2θ (2θ = 10–90°):
2θ 17.98, intensity 18, hkl 0 0 1
2θ 26.55, intensity 100, hkl 1 0 1
2θ 33.90, intensity 41, hkl 1 1 0
2θ 43.57, intensity 24, hkl 2 0 1
2θ 50.60, intensity 48, hkl 1 1 2
2θ 56.33, intensity 23, hkl 2 1 1

Structure:
```
data_YMo2O6
_chemical_formula_sum 'Y1 Mo2 O6'
_space_group_name_H-M_alt 'P -3 1 m'
_space_group_IT_number 162
_space_group_name_Hall '-P 3 2'
_cell_length_a 5.2881
_cell_length_b 5.2881
_cell_length_c 4.9348
_cell_angle_alpha 90.00
_cell_angle_beta 90.00
_cell_angle_gamma 120.00
loop_
_atom_site_label
_atom_site_type_symbol
_atom_site_fract_x
_atom_site_fract_y
_atom_site_fract_z
Y1 Y 0.0000 0.0000 0.0000
Mo1 Mo 0.3333 0.6667 0.5000
O1 O 0.0000 0.3548 0.2739
```